This entry pairs a crystal structure of LiCo5O7F with its calculated powder XRD pattern. Radiation: a wavelength of 1.5418 Å. Structure: a GGA+U-relaxed structure.
No peak broadening, texture or thermal motion is included.

Cell and atoms:
Cell: 5.9414 5.9414 10.0296 Å, 106.49 106.49 60.25°
Sites, in units of the cell vectors:
Li 0.0000 0.0000 0.0000
Li 0.5000 0.5000 0.4993
Co 0.1938 0.1938 0.5813
Co 0.3853 0.3853 0.1595
Co 0.4422 0.9523 0.8394
Co 0.4455 0.4455 0.8378
Co 0.4512 0.9428 0.3384
Co 0.6933 0.6933 0.0811
Co 0.8856 0.8856 0.6611
Co 0.9428 0.4512 0.3384
Co 0.9450 0.9450 0.3396
Co 0.9523 0.4422 0.8394
O 0.0416 0.5958 0.2269
O 0.0917 0.0917 0.7180
O 0.0948 0.5415 0.7260
O 0.2931 0.2931 0.4453
O 0.2944 0.8484 0.4389
O 0.3146 0.3146 0.9590
O 0.3474 0.7932 0.9389
O 0.5415 0.0948 0.7260
O 0.5916 0.5916 0.2183
O 0.5958 0.0416 0.2269
O 0.7932 0.3474 0.9389
O 0.7934 0.7934 0.9466
O 0.8173 0.8173 0.4597
O 0.8484 0.2944 0.4389
F 0.0712 0.0712 0.1984
F 0.5717 0.5717 0.6983

Principal peaks in the range 2θ from 10° to 90°, sorted by position:
2θ (°)  I_rel
18.32  1000
18.73  429
35.33  379
35.47  420
35.58  665
35.92  745
43.20  696
62.54  397

This entry pairs a crystal structure of Mg2Ta2CoO8 with its calculated powder XRD pattern. Radiation: a wavelength of 1.5418 Å. Structure: a GGA+U-relaxed structure.
No peak broadening, texture or thermal motion is included.

Cell and atoms:
Cell: 10.0029 10.0029 5.2063 Å, 90.29 90.29 34.95°
Sites, in units of the cell vectors:
Mg 0.0841 0.3705 0.2448
Mg 0.3705 0.0841 0.7448
Mg 0.6295 0.9159 0.2552
Mg 0.9159 0.6295 0.7552
Ta 0.2210 0.5480 0.2576
Ta 0.4520 0.7790 0.2424
Ta 0.5480 0.2210 0.7576
Ta 0.7790 0.4520 0.7424
Co 0.1432 0.8568 0.7500
Co 0.8568 0.1432 0.2500
O 0.0453 0.3367 0.8791
O 0.0692 0.8147 0.4128
O 0.1853 0.9308 0.0872
O 0.2111 0.4169 0.5456
O 0.3169 0.5412 0.9216
O 0.3367 0.0453 0.3791
O 0.4169 0.2111 0.0456
O 0.4588 0.6831 0.5784
O 0.5412 0.3169 0.4216
O 0.5831 0.7889 0.9544
O 0.6633 0.9547 0.6209
O 0.6831 0.4588 0.0784
O 0.7889 0.5831 0.4544
O 0.8147 0.0692 0.9128
O 0.9308 0.1853 0.5872
O 0.9547 0.6633 0.1209

Principal peaks in the range 2θ from 10° to 90°, sorted by position:
2θ (°)  I_rel
18.60  612
23.08  838
26.63  843
27.69  435
32.62  568
32.76  603
34.47  1000
51.91  420

This entry pairs a crystal structure of Li3V3B2O10 with its calculated powder XRD pattern. Radiation: a wavelength of 1.5418 Å. Structure: a GGA+U-relaxed structure.
No peak broadening, texture or thermal motion is included.

Cell and atoms:
Cell: 2.9945 12.0999 9.4037 Å, 90.00 91.30 90.00°
Sites, in units of the cell vectors:
Li 0.9997 0.0000 0.2415
Li 0.0003 0.5000 0.7585
Li 0.0025 0.7863 0.7432
Li 0.4994 0.2965 0.7618
Li 0.5006 0.7965 0.2382
Li 0.9975 0.2863 0.2568
V 0.0004 0.0717 0.7504
V 0.9996 0.5717 0.2496
V 0.4784 0.8969 0.5002
V 0.4828 0.6777 0.9814
V 0.5172 0.1777 0.0186
V 0.5216 0.3969 0.4998
B 0.4975 0.1452 0.4803
B 0.4992 0.4225 0.0174
B 0.5008 0.9225 0.9826
B 0.5025 0.6452 0.5197
O 0.0074 0.4371 0.3645
O 0.0112 0.2073 0.8756
O 0.0111 0.8601 0.3830
O 0.0141 0.6415 0.8693
O 0.4839 0.3264 0.0986
O 0.4921 0.9296 0.1232
O 0.4958 0.5466 0.5906
O 0.4967 0.2447 0.4098
O 0.4976 0.5239 0.1027
O 0.4995 0.1427 0.6327
O 0.5005 0.6427 0.3673
O 0.5024 0.0239 0.8973
O 0.5033 0.7447 0.5902
O 0.5042 0.0466 0.4094
O 0.5079 0.4296 0.8768
O 0.5161 0.8264 0.9014
O 0.9859 0.1415 0.1307
O 0.9889 0.3601 0.6170
O 0.9888 0.7073 0.1244
O 0.9926 0.9371 0.6355

Principal peaks in the range 2θ from 10° to 90°, sorted by position:
2θ (°)  I_rel
11.92  689
17.43  1000
23.99  481
29.48  374
35.17  481
35.28  451
35.93  432
41.97  383